Diffraction record for Pr8SmIn6. The XRD peak list is simulated, not measured: it uses DFT lattice parameters and positions (PBE) and Cu Kα (weighted mean of Kα1 and Kα2).
Peak positions follow from Bragg's law for the DFT cell and can differ from measured ones.

Peak list (10 most intense, 2θ from 10° to 90°, in order of rising 2θ)
2θ = 19.06°, rel. 11, hkl 1 1 0
2θ = 23.27°, rel. 29, hkl 2 -1 3
2θ = 32.96°, rel. 100, hkl 1 1 6
2θ = 33.33°, rel. 92, hkl 3 0 0
2θ = 47.58°, rel. 35, hkl 4 -2 6
2θ = 58.62°, rel. 17, hkl 2 -1 12
2θ = 59.33°, rel. 36, hkl 4 1 6
2θ = 59.56°, rel. 17, hkl 3 3 0
2θ = 78.95°, rel. 14, hkl 5 -1 12
2θ = 79.56°, rel. 15, hkl 7 -2 6

Atomic structure:
Cell: 9.3127 9.3127 20.0794 Å, 90.00 90.00 120.00°
Space group R-3 (No. 148, hexagonal axes)
Inequivalent atoms, fractional coordinates:
Pr: 0.0000 0.0000 0.1660 [6 per cell]
Pr: 0.9995 0.3347 0.6162 [18 per cell]
Sm: 0.0000 0.0000 0.5000 [3 per cell]
In: 0.0004 0.3296 0.4466 [18 per cell]